The following is a calculated X-ray diffraction stick pattern of Hf2N2O. It was derived from a DFT-relaxed cell (PBE, the Materials Project), using Cu Kα X-rays.

Largest 12 diffraction maxima, low angle first, 2θ from 5° to 70°:
d (Å)	I (rel.)
4.125	12
2.918	100
2.893	32
2.522	49
1.984	7
1.789	22
1.778	14
1.775	7
1.525	13
1.522	9
1.520	7
1.515	6

Crystal structure
```
40
Lattice="8.6782 0.0000 0.0000 -2.8712 8.2621 0.0000 -2.8983 -4.1271 7.1559" Properties=species:S:1:pos:R:3 pbc="T T T"
Hf 0.0000 0.0000 0.0000
Hf -2.8079 2.0330 3.5321
Hf -2.7265 5.5736 1.9703
Hf -0.3037 3.4153 1.6877
Hf -0.1504 0.1318 3.7759
Hf -0.0344 6.3525 0.1982
Hf 0.0414 -3.1503 5.8676
Hf -0.3135 2.8850 5.6379
Hf 2.5537 4.3877 0.4542
Hf 2.5629 -1.7404 4.0162
Hf 2.9295 1.4239 1.8977
Hf 2.5010 1.2329 5.2822
Hf 2.7024 4.1812 3.7853
Hf 5.6577 2.2428 0.2817
Hf 5.8824 -0.9701 2.2537
Hf 5.4361 -1.1393 5.6403
N -0.7511 -0.6744 1.8345
N -2.2667 0.0307 4.1106
N -2.5068 3.0387 5.3870
N -2.3913 0.1452 7.0430
N 2.0776 0.1256 0.4838
N -0.6163 5.5317 2.1636
N 2.0129 0.2123 3.4482
N 1.7501 3.2436 2.2034
N 0.4800 0.8822 5.7046
N 3.5106 2.5170 0.0741
N 2.0477 6.5653 0.4606
N 1.7596 3.3991 5.4749
N 5.0113 0.8869 1.8324
N 3.4039 -0.6228 5.7241
N 6.1310 3.4800 1.9226
N 7.8167 1.8624 0.2834
O -1.9709 -2.9420 5.3138
O 0.3613 -1.9772 4.0494
O -0.6209 2.1947 3.4964
O 2.2348 -3.1970 5.6008
O 4.6399 -2.1290 3.7141
O 3.7930 5.1503 2.1425
O 3.7963 2.3668 3.8731
O 3.4973 1.9010 7.1158
```

The following is a calculated X-ray diffraction stick pattern of Hf2N2O. It was derived from a DFT-relaxed cell (PBE, the Materials Project), using Cu Kα X-rays.

Largest 12 diffraction maxima, low angle first, 2θ from 5° to 70°:
d (Å)	I (rel.)
3.962	17
2.904	100
2.893	47
2.747	93
2.718	46
2.011	19
1.981	35
1.818	30
1.616	19
1.611	16
1.603	18
1.575	23

Crystal structure
```
20
Lattice="4.7747 -2.7176 0.0000 4.7747 2.7176 0.0000 -3.2883 0.0000 9.7796" Properties=species:S:1:pos:R:3 pbc="T T T"
Hf 0.0163 0.0000 1.5735
Hf -0.0162 -0.0139 5.7690
Hf -0.2285 -0.0313 8.9245
Hf 3.0792 -0.0681 3.3283
Hf 3.1820 -0.0681 6.4513
Hf 6.4897 -0.0313 0.8551
Hf 6.2773 -0.0139 4.0106
Hf 6.2448 0.0000 8.2061
N 1.5379 1.1598 2.4554
N 1.3918 -0.7920 0.0200
N 1.7055 -0.7322 4.8394
N 4.7233 1.1598 7.3241
N 2.9793 -1.8607 2.3756
N 4.5556 -0.7322 4.9402
N 3.2819 -1.8607 7.4040
N 4.8693 -0.7920 9.7596
O 3.1306 1.7653 4.8898
O 1.4103 0.8835 7.2501
O 4.8509 0.8835 2.5295
O 4.7747 -1.0231 0.0000
```

The following is a calculated X-ray diffraction stick pattern of HfPbN2. It was derived from a DFT-relaxed cell (PBE, the Materials Project), using Cu Kα X-rays.

Largest 12 diffraction maxima, low angle first, 2θ from 5° to 70°:
d (Å)	I (rel.)
3.612	2
2.855	100
2.687	3
2.238	1
2.020	16
2.015	5
1.958	3
1.804	1
1.648	38
1.615	2
1.498	3
1.428	12

Crystal structure
```
8
Lattice="4.0406 0.0000 0.0000 0.0000 4.0406 0.0000 0.0000 0.0000 8.0617" Properties=species:S:1:pos:R:3 pbc="T T T"
Hf 1.0102 1.0102 0.7738
Hf 3.0305 3.0305 7.2879
Pb 1.0102 1.0102 5.1205
Pb 3.0305 3.0305 2.9412
N 1.0102 1.0102 2.8130
N 1.0102 3.0305 0.0000
N 3.0305 1.0102 0.0000
N 3.0305 3.0305 5.2487
```

The following is a calculated X-ray diffraction stick pattern of Hf2SN2. It was derived from a DFT-relaxed cell (PBE, the Materials Project), using Cu Kα X-rays.

Largest 12 diffraction maxima, low angle first, 2θ from 5° to 70°:
d (Å)	I (rel.)
5.733	88
3.905	68
3.357	22
2.812	72
2.681	60
2.586	100
2.429	48
2.077	28
2.007	20
1.619	48
1.556	28
1.489	23

Crystal structure
```
5
Lattice="-1.7555 2.0768 5.7327 1.7555 -2.0768 5.7327 1.7555 2.0768 -5.7327" Properties=species:S:1:pos:R:3 pbc="T T T"
Hf 0.0000 0.0000 1.9988
Hf 0.0000 0.0000 9.4667
S 1.7555 0.0000 0.0000
N 1.7555 0.0000 3.2036
N 0.0000 2.0768 2.5291
```

The following is a calculated X-ray diffraction stick pattern of Hf5Si3N. It was derived from a DFT-relaxed cell (PBE, the Materials Project), using Cu Kα X-rays.

Largest 12 diffraction maxima, low angle first, 2θ from 5° to 70°:
d (Å)	I (rel.)
3.915	20
3.390	31
3.200	45
2.571	48
2.563	53
2.327	100
2.266	79
2.260	31
1.600	27
1.501	26
1.480	26
1.447	28

Crystal structure
```
18
Lattice="7.8295 0.0000 0.0000 -3.9147 6.7805 0.0000 0.0000 0.0000 5.5573" Properties=species:S:1:pos:R:3 pbc="T T T"
Hf -0.9201 1.5937 1.3893
Hf -2.9946 5.1868 4.1680
Hf 1.8402 0.0000 1.3893
Hf 0.9201 1.5937 4.1680
Hf 0.0000 4.5203 0.0000
Hf 0.0000 4.5203 2.7786
Hf 3.9147 2.2602 0.0000
Hf 3.9147 2.2602 2.7786
Hf 5.9892 0.0000 4.1680
Hf 2.9946 5.1868 1.3893
Si -1.5813 2.7389 4.1680
Si -2.3334 4.0416 1.3893
Si 3.1626 0.0000 4.1680
Si 1.5813 2.7389 1.3893
Si 4.6668 0.0000 1.3893
Si 2.3334 4.0416 4.1680
N 0.0000 0.0000 0.0000
N 0.0000 0.0000 2.7786
```

The following is a calculated X-ray diffraction stick pattern of SrHf7N10. It was derived from a DFT-relaxed cell (PBE, the Materials Project), using Cu Kα X-rays.

Largest 12 diffraction maxima, low angle first, 2θ from 5° to 70°:
d (Å)	I (rel.)
6.871	50
6.551	34
4.440	41
3.436	56
2.956	32
2.871	31
2.736	100
2.727	36
2.714	96
2.142	51
2.058	34
1.854	32

Crystal structure
```
36
Lattice="6.5543 0.0000 0.0000 0.0000 6.8710 0.0000 -0.4239 0.0000 13.4520" Properties=species:S:1:pos:R:3 pbc="T T T"
Sr 0.0000 0.4247 0.0000
Sr -0.2120 6.4463 6.7260
Hf -0.2478 2.7391 9.0087
Hf -0.0358 4.1320 2.2827
Hf 1.1155 2.8166 4.9656
Hf 0.9035 4.0544 11.6916
Hf 1.8347 0.3082 2.8357
Hf 1.6228 6.5628 9.5617
Hf 2.5184 2.8677 0.9010
Hf 2.3064 4.0033 7.6270
Hf 2.7631 0.2537 12.3936
Hf 2.9751 6.6173 5.6676
Hf 3.4720 2.7769 10.2610
Hf 3.6839 4.0941 3.5350
Hf 4.8255 2.8514 6.2083
Hf 4.6135 4.0196 12.9343
N 0.0966 0.7970 8.9606
N 0.3086 6.0740 2.2346
N 0.3799 3.3002 6.9719
N 0.5919 3.5708 0.2458
N 1.3833 0.8161 4.9418
N 1.1713 6.0549 11.6678
N 1.8358 3.0736 2.9422
N 1.6239 3.7974 9.6682
N 2.4333 0.8843 0.8467
N 2.2213 5.9867 7.5727
N 2.7884 3.0890 12.3200
N 3.0003 3.7820 5.5940
N 3.0574 0.8472 10.3861
N 3.2693 6.0238 3.6601
N 4.2541 3.1825 8.2836
N 4.4661 3.6885 1.5576
N 4.5137 0.9367 5.9943
N 4.3017 5.9343 12.7203
N 5.5135 3.3061 11.0108
N 5.7255 3.5649 4.2848
```

The following is a calculated X-ray diffraction stick pattern of Sr5Hf2N6. It was derived from a DFT-relaxed cell (PBE, the Materials Project), using Cu Kα X-rays.

Largest 12 diffraction maxima, low angle first, 2θ from 5° to 70°:
d (Å)	I (rel.)
6.712	46
5.739	83
5.197	46
4.785	53
4.189	62
3.107	69
2.987	87
2.981	51
2.930	76
2.792	100
2.749	46
2.271	58

Crystal structure
```
26
Lattice="5.5735 -3.5722 0.0000 5.5735 3.5722 0.0000 -3.3451 0.0000 13.4232" Properties=species:S:1:pos:R:3 pbc="T T T"
Sr 3.0647 2.5084 10.0674
Sr 2.9137 1.0493 3.7213
Sr 1.9646 1.8228 13.2923
Sr 4.1648 1.8228 6.8425
Sr 1.2412 -1.0493 10.4329
Sr 6.5608 1.0493 2.9903
Sr 3.6371 -1.8228 6.5807
Sr 5.8373 -1.8228 0.1309
Sr 4.8882 -1.0493 9.7019
Sr 4.7372 -2.5084 3.3558
Hf 1.1600 0.6045 7.6010
Hf 2.8325 -0.6045 0.8894
Hf 4.9694 0.6045 12.5338
Hf 6.6419 -0.6045 5.8222
N 0.9361 0.9301 5.5413
N -0.5436 0.0163 8.6117
N 1.1289 -0.0163 1.9000
N -0.7364 -0.9301 12.2529
N 4.6111 0.1015 1.6129
N 2.9386 -0.1015 8.3245
N 4.8634 0.1015 5.0987
N 3.1908 -0.1015 11.8103
N 8.5384 0.9301 1.1703
N 6.6730 0.0163 11.5232
N 8.3455 -0.0163 4.8116
N 6.8658 -0.9301 7.8819
```

The following is a calculated X-ray diffraction stick pattern of Sr7HfN6. It was derived from a DFT-relaxed cell (PBE, the Materials Project), using Cu Kα X-rays.

Largest 12 diffraction maxima, low angle first, 2θ from 5° to 70°:
d (Å)	I (rel.)
4.519	18
3.189	21
3.067	32
3.054	28
3.024	100
2.737	72
2.675	13
2.277	15
2.164	20
1.828	14
1.638	13
1.527	15

Crystal structure
```
56
Lattice="12.2689 0.0000 0.0000 0.0000 6.8001 0.0000 0.0000 0.0000 13.9038" Properties=species:S:1:pos:R:3 pbc="T T T"
Sr 0.0000 0.1697 3.4760
Sr 0.0000 6.6304 10.4279
Sr 0.4942 1.5400 7.0667
Sr 0.4942 5.2601 0.1148
Sr 2.7002 2.6127 1.6442
Sr 2.7002 4.1874 8.5961
Sr 2.8019 2.3711 12.1031
Sr 2.8019 4.4290 5.1511
Sr 3.3325 1.0290 5.1511
Sr 3.3325 5.7711 12.1031
Sr 3.4342 0.7874 8.5961
Sr 3.4342 6.0127 1.6442
Sr 5.6402 1.8600 0.1148
Sr 5.6402 4.9400 7.0667
Sr 6.1344 3.2304 10.4279
Sr 6.1344 3.5697 3.4760
Sr 6.6286 1.8600 6.8371
Sr 6.6286 4.9400 13.7890
Sr 8.8347 0.7874 12.2597
Sr 8.8347 6.0127 5.3078
Sr 8.9363 1.0290 1.8008
Sr 8.9363 5.7711 8.7527
Sr 9.4670 2.3711 8.7527
Sr 9.4670 4.4290 1.8008
Sr 9.5686 2.6127 5.3078
Sr 9.5686 4.1874 12.2597
Sr 11.7747 1.5400 13.7890
Sr 11.7747 5.2601 6.8371
Hf 0.0000 3.2273 10.4279
Hf 0.0000 3.5728 3.4760
Hf 6.1344 0.1727 3.4760
Hf 6.1344 6.6274 10.4279
N 1.0743 2.3118 4.7134
N 1.0743 4.4883 11.6653
N 1.4252 1.9629 9.5644
N 1.4252 4.8372 2.6124
N 1.9597 0.6848 13.8573
N 1.9597 6.1153 6.9054
N 4.1747 2.7153 6.9054
N 4.1747 4.0848 13.8573
N 4.7093 1.4371 2.6124
N 4.7093 5.3630 9.5644
N 5.0601 1.0883 11.6653
N 5.0601 5.7118 4.7134
N 7.2087 1.0883 9.1904
N 7.2087 5.7118 2.2385
N 7.5596 1.4371 4.3395
N 7.5596 5.3630 11.2914
N 8.0941 2.7153 0.0465
N 8.0941 4.0848 6.9984
N 10.3092 0.6848 6.9984
N 10.3092 6.1153 0.0465
N 10.8437 1.9629 11.2914
N 10.8437 4.8372 4.3395
N 11.1946 2.3118 2.2385
N 11.1946 4.4883 9.1904
```

The following is a calculated X-ray diffraction stick pattern of HfTaN2. It was derived from a DFT-relaxed cell (PBE, the Materials Project), using Cu Kα X-rays.

Largest 7 diffraction maxima, low angle first, 2θ from 5° to 70°:
d (Å)	I (rel.)
2.588	100
2.567	33
2.237	89
1.586	30
1.577	30
1.352	14
1.349	28

Crystal structure
```
4
Lattice="1.5863 0.9159 5.1344 -1.5863 0.9159 5.1344 0.0000 -1.8317 5.1344" Properties=species:S:1:pos:R:3 pbc="T T T"
Hf 0.0000 0.0000 0.0000
Ta 0.0000 0.0000 7.7016
N 0.0000 0.0000 3.8554
N 0.0000 0.0000 11.5478
```

The following is a calculated X-ray diffraction stick pattern of HfTa2N3. It was derived from a DFT-relaxed cell (PBE, the Materials Project), using Cu Kα X-rays.

Largest 10 diffraction maxima, low angle first, 2θ from 5° to 70°:
d (Å)	I (rel.)
4.547	1
2.992	3
2.625	100
2.499	75
1.973	12
1.810	38
1.516	19
1.496	7
1.490	32
1.352	4

Crystal structure
```
6
Lattice="5.2506 0.0000 0.0000 -2.6253 4.5471 0.0000 0.0000 0.0000 2.9920" Properties=species:S:1:pos:R:3 pbc="T T T"
Hf 0.0000 0.0000 0.0000
Ta 0.0000 3.0314 1.4960
Ta 2.6253 1.5157 1.4960
N -1.3126 2.2736 0.0000
N 2.6253 0.0000 0.0000
N 1.3126 2.2736 0.0000
```